No. 1
Diffraction record for LiFePO4. The powder XRD pattern is computed, not measured: it uses DFT lattice parameters and positions (PBE+U) and Cu Kα (λ = 1.5418 Å).
No peak broadening, texture or thermal motion is included.

Cell and atoms:
abc: 10.1854 5.1103 13.7350
angles: 90.00 90.00 90.00
Space group Pca2_1 (No. 29)
Unique sites:
Li 0.0306 0.0713 0.0000 [4 per cell]
Li 0.2204 0.4509 0.2479 [4 per cell]
Fe 0.0340 0.9406 0.2503 [4 per cell]
Fe 0.2150 0.4441 0.4984 [4 per cell]
P 0.0321 0.5659 0.8740 [4 per cell]
P 0.2162 0.9505 0.6254 [4 per cell]
O 0.0004 0.1353 0.3773 [4 per cell]
O 0.0276 0.5634 0.4667 [4 per cell]
O 0.0327 0.5491 0.2807 [4 per cell]
O 0.0664 0.0109 0.6241 [4 per cell]
O 0.1820 0.5126 0.8727 [4 per cell]
O 0.2216 0.0686 0.2186 [4 per cell]
O 0.2218 0.0753 0.0326 [4 per cell]
O 0.2420 0.6498 0.6247 [4 per cell]

Most intense lines, 2θ = 5–70°, by angle:
21.7 deg, intensity 100; 31.6 deg, intensity 9; 35.1 deg, intensity 17; 35.2 deg, intensity 15; 36.1 deg, intensity 8; 41.7 deg, intensity 10

***

No. 2
Diffraction record for LiFeP2O7. The powder XRD pattern is computed, not measured: it uses DFT lattice parameters and positions (PBE+U) and Cu Kα (λ = 1.5418 Å).
No peak broadening, texture or thermal motion is included.

Cell and atoms:
abc: 6.4564 9.3685 10.5204
angles: 65.46 85.90 72.90
Space group P1 (No. 1)
Unique sites:
Li 0.0000 0.0000 0.0000 [1 per cell]
Li 0.0898 0.4526 0.6214 [1 per cell]
Li 0.5703 0.0095 0.5378 [1 per cell]
Li 0.6912 0.7888 0.0758 [1 per cell]
Fe 0.0168 0.4359 0.3508 [1 per cell]
Fe 0.3027 0.4339 0.8578 [1 per cell]
Fe 0.3721 0.8400 0.8118 [1 per cell]
Fe 0.9263 0.0338 0.3668 [1 per cell]
P 0.0676 0.2479 0.1339 [1 per cell]
P 0.2353 0.6357 0.0605 [1 per cell]
P 0.3382 0.7383 0.5511 [1 per cell]
P 0.5335 0.3838 0.3044 [1 per cell]
P 0.5740 0.1176 0.7991 [1 per cell]
P 0.7253 0.7476 0.3885 [1 per cell]
P 0.7707 0.4988 0.8951 [1 per cell]
P 0.9542 0.1322 0.6397 [1 per cell]
O 0.0071 0.0923 0.1542 [1 per cell]
O 0.0357 0.6132 0.1453 [1 per cell]
O 0.0483 0.2741 0.5570 [1 per cell]
O 0.0816 0.2407 0.2833 [1 per cell]
O 0.0864 0.0112 0.7778 [1 per cell]
O 0.1938 0.8557 0.4189 [1 per cell]
O 0.2233 0.6315 0.9148 [1 per cell]
O 0.2592 0.5942 0.6480 [1 per cell]
O 0.2629 0.2782 0.0494 [1 per cell]
O 0.2839 0.7999 0.0256 [1 per cell]
O 0.3323 0.4069 0.3880 [1 per cell]
O 0.3682 0.2531 0.7950 [1 per cell]
O 0.3846 0.8368 0.6278 [1 per cell]
O 0.4445 0.4880 0.1412 [1 per cell]
O 0.5184 0.0133 0.7314 [1 per cell]
O 0.5666 0.6596 0.5021 [1 per cell]
O 0.6082 0.4188 0.8740 [1 per cell]
O 0.6278 0.2050 0.3246 [1 per cell]
O 0.6363 0.8147 0.2421 [1 per cell]
O 0.6621 0.6740 0.8830 [1 per cell]
O 0.7009 0.0117 0.9385 [1 per cell]
O 0.7051 0.4566 0.3249 [1 per cell]
O 0.7240 0.2162 0.6868 [1 per cell]
O 0.7485 0.8807 0.4337 [1 per cell]
O 0.8607 0.4027 0.0570 [1 per cell]
O 0.9094 0.0458 0.5536 [1 per cell]
O 0.9398 0.6056 0.4272 [1 per cell]
O 0.9675 0.4770 0.8076 [1 per cell]

Most intense lines, 2θ = 5–70°, by angle:
11.0 deg, intensity 87; 17.6 deg, intensity 97; 18.6 deg, intensity 74; 22.0 deg, intensity 59; 23.3 deg, intensity 100; 30.4 deg, intensity 55